Record 1
Starting from DFT lattice parameters and positions (PBE+U), the powder X-ray diffraction pattern of Fe4CoBi5O15 was simulated for Cu Kα X-rays.
Kinematic intensities with the Lorentz-polarization factor, no thermal factor.

Lattice parameters (Å, degrees): 5.6043 9.8555 12.5279 98.17 102.75 106.24
Space group P1 (No. 1)
One atom of each set of equivalent atoms:
Fe 0.0000 0.0000 0.0000 (multiplicity 1)
Fe 0.0964 0.8988 0.2989 (multiplicity 1)
Fe 0.1950 0.7974 0.6004 (multiplicity 1)
Fe 0.3918 0.5958 0.1977 (multiplicity 1)
Fe 0.4923 0.4972 0.4992 (multiplicity 1)
Fe 0.5952 0.3981 0.8016 (multiplicity 1)
Fe 0.7926 0.1987 0.3978 (multiplicity 1)
Fe 0.8941 0.0982 0.7006 (multiplicity 1)
Co 0.2971 0.7054 0.9000 (multiplicity 1)
Co 0.7005 0.3089 0.0978 (multiplicity 1)
Bi 0.0281 0.4114 0.6582 (multiplicity 1)
Bi 0.1303 0.3106 0.9583 (multiplicity 1)
Bi 0.2286 0.2121 0.2520 (multiplicity 1)
Bi 0.3284 0.1096 0.5545 (multiplicity 1)
Bi 0.4377 0.0125 0.8592 (multiplicity 1)
Bi 0.5303 0.9091 0.1546 (multiplicity 1)
Bi 0.6297 0.8088 0.4551 (multiplicity 1)
Bi 0.7306 0.7102 0.7592 (multiplicity 1)
Bi 0.8239 0.6097 0.0520 (multiplicity 1)
Bi 0.9263 0.5072 0.3512 (multiplicity 1)
O 0.0060 0.9552 0.6128 (multiplicity 1)
O 0.0255 0.0860 0.3715 (multiplicity 1)
O 0.0373 0.0754 0.8556 (multiplicity 1)
O 0.0463 0.4506 0.1140 (multiplicity 1)
O 0.1212 0.3860 0.4710 (multiplicity 1)
O 0.1904 0.7742 0.7560 (multiplicity 1)
O 0.2071 0.7539 0.2101 (multiplicity 1)
O 0.2270 0.8797 0.9726 (multiplicity 1)
O 0.2387 0.8765 0.4534 (multiplicity 1)
O 0.2550 0.2562 0.7138 (multiplicity 1)
O 0.3386 0.1870 0.0735 (multiplicity 1)
O 0.3850 0.5753 0.3519 (multiplicity 1)
O 0.4027 0.5569 0.8172 (multiplicity 1)
O 0.4281 0.6868 0.5728 (multiplicity 1)
O 0.4331 0.6719 0.0494 (multiplicity 1)
O 0.4556 0.0544 0.3106 (multiplicity 1)
O 0.5235 0.9872 0.6751 (multiplicity 1)
O 0.5901 0.3712 0.9565 (multiplicity 1)
O 0.6030 0.3551 0.4100 (multiplicity 1)
O 0.6197 0.4778 0.1696 (multiplicity 1)
O 0.6316 0.4743 0.6539 (multiplicity 1)
O 0.6636 0.8589 0.9136 (multiplicity 1)
O 0.7259 0.7817 0.2704 (multiplicity 1)
O 0.7839 0.1772 0.5533 (multiplicity 1)
O 0.8095 0.1606 0.0161 (multiplicity 1)
O 0.8270 0.2859 0.7745 (multiplicity 1)
O 0.8349 0.2771 0.2479 (multiplicity 1)
O 0.8565 0.6551 0.5130 (multiplicity 1)
O 0.9168 0.5840 0.8728 (multiplicity 1)
O 0.9895 0.9760 0.1525 (multiplicity 1)

Most intense lines, 10 to 80 degrees two-theta, in order of rising 2θ:
2theta	I_rel	index
22.2	39	1 1 0
22.4	78	0 1 -3
31.5	50	1 2 -3
31.6	100	0 3 1
31.9	99	-2 1 1
32.1	49	-1 1 4
39.4	30	0 2 4
45.4	24	2 2 0
45.6	46	-2 4 2
51.1	34	2 -5 1
56.7	31	3 1 -4
56.8	33	3 -1 2

Record 2
Starting from DFT lattice parameters and positions (PBE+U), the powder X-ray diffraction pattern of FeCoBi2O6 was simulated for Cu Kα X-rays.
Kinematic intensities with the Lorentz-polarization factor, no thermal factor.

Lattice parameters (Å, degrees): 3.7628 3.7628 9.7635 90.00 90.00 90.00
Space group P4mm (No. 99)
One atom of each set of equivalent atoms:
Fe 0.0000 0.0000 0.0000 (multiplicity 1)
Co 0.0000 0.0000 0.4983 (multiplicity 1)
Bi 0.5000 0.5000 0.2164 (multiplicity 1)
Bi 0.5000 0.5000 0.7100 (multiplicity 1)
O 0.0000 0.0000 0.3176 (multiplicity 1)
O 0.0000 0.0000 0.8132 (multiplicity 1)
O 0.0000 0.5000 0.0804 (multiplicity 2)
O 0.0000 0.5000 0.5751 (multiplicity 2)

Most intense lines, 10 to 80 degrees two-theta, in order of rising 2θ:
2theta	I_rel	index
18.2	31	0 0 2
23.6	21	1 0 0
30.0	100	1 0 2
33.7	35	1 1 0
36.8	10	0 0 4
38.5	21	1 1 2
44.2	19	1 0 4
48.4	20	2 0 0
50.8	25	1 1 4
58.0	32	2 1 2
62.1	11	1 0 6
67.6	11	2 1 4

Record 3
Starting from DFT lattice parameters and positions (PBE+U), the powder X-ray diffraction pattern of Fe4CoBi5O15 was simulated for Cu Kα X-rays.
Kinematic intensities with the Lorentz-polarization factor, no thermal factor.

Lattice parameters (Å, degrees): 5.6082 5.6685 23.1859 83.19 89.75 60.44
Space group P1 (No. 1)
One atom of each set of equivalent atoms:
Fe 0.0000 0.0000 0.0000 (multiplicity 1)
Fe 0.0956 0.8031 0.3003 (multiplicity 1)
Fe 0.1972 0.6015 0.6023 (multiplicity 1)
Fe 0.3994 0.1995 0.1997 (multiplicity 1)
Fe 0.4995 0.9971 0.5014 (multiplicity 1)
Fe 0.5964 0.8007 0.8036 (multiplicity 1)
Fe 0.7983 0.4006 0.4006 (multiplicity 1)
Fe 0.8951 0.2040 0.7025 (multiplicity 1)
Co 0.3100 0.3788 0.9037 (multiplicity 1)
Co 0.7031 0.5892 0.1004 (multiplicity 1)
Bi 0.0139 0.9729 0.1442 (multiplicity 1)
Bi 0.1117 0.7741 0.4460 (multiplicity 1)
Bi 0.2086 0.5776 0.7495 (multiplicity 1)
Bi 0.3102 0.3777 0.0444 (multiplicity 1)
Bi 0.4092 0.1778 0.3448 (multiplicity 1)
Bi 0.5084 0.9758 0.6469 (multiplicity 1)
Bi 0.6172 0.7662 0.9463 (multiplicity 1)
Bi 0.7091 0.5759 0.2434 (multiplicity 1)
Bi 0.8129 0.3723 0.5465 (multiplicity 1)
Bi 0.9111 0.1773 0.8487 (multiplicity 1)
O 0.0099 0.5358 0.8413 (multiplicity 1)
O 0.0199 0.3652 0.1662 (multiplicity 1)
O 0.0990 0.6526 0.9558 (multiplicity 1)
O 0.1185 0.3663 0.6693 (multiplicity 1)
O 0.1460 0.8593 0.6590 (multiplicity 1)
O 0.1561 0.1476 0.9380 (multiplicity 1)
O 0.2095 0.1347 0.4367 (multiplicity 1)
O 0.2151 0.9653 0.7697 (multiplicity 1)
O 0.2949 0.2512 0.5591 (multiplicity 1)
O 0.3156 0.9681 0.2661 (multiplicity 1)
O 0.3456 0.4586 0.2563 (multiplicity 1)
O 0.3536 0.7336 0.5370 (multiplicity 1)
O 0.3937 0.7413 0.0368 (multiplicity 1)
O 0.4139 0.5664 0.3668 (multiplicity 1)
O 0.4958 0.8590 0.1565 (multiplicity 1)
O 0.5138 0.5607 0.8706 (multiplicity 1)
O 0.5361 0.0641 0.8601 (multiplicity 1)
O 0.5564 0.3441 0.1370 (multiplicity 1)
O 0.6054 0.3377 0.6382 (multiplicity 1)
O 0.6109 0.1730 0.9662 (multiplicity 1)
O 0.6963 0.4596 0.7605 (multiplicity 1)
O 0.7201 0.1613 0.4680 (multiplicity 1)
O 0.7491 0.6524 0.4585 (multiplicity 1)
O 0.7547 0.9372 0.7399 (multiplicity 1)
O 0.8048 0.9382 0.2359 (multiplicity 1)
O 0.8122 0.7624 0.5685 (multiplicity 1)
O 0.8928 0.0580 0.3572 (multiplicity 1)
O 0.9105 0.7682 0.0656 (multiplicity 1)
O 0.9377 0.2619 0.0565 (multiplicity 1)
O 0.9546 0.5378 0.3360 (multiplicity 1)

Most intense lines, 10 to 80 degrees two-theta, in order of rising 2θ:
2theta	I_rel	index
22.2	52	0 1 4
22.3	26	1 1 -3
31.6	100	1 2 1
31.8	33	1 1 7
31.9	66	2 1 0
39.2	30	2 2 4
45.4	16	2 0 6
45.4	16	0 2 8
45.6	16	2 2 -6
50.9	22	1 3 5
56.6	28	3 3 1
56.7	16	3 2 7

Record 4
Starting from DFT lattice parameters and positions (PBE+U), the powder X-ray diffraction pattern of Fe4CoBi5O15 was simulated for Cu Kα X-rays.
Kinematic intensities with the Lorentz-polarization factor, no thermal factor.

Lattice parameters (Å, degrees): 5.6082 5.6685 23.1859 83.19 89.75 60.44
Space group P1 (No. 1)
One atom of each set of equivalent atoms:
Fe 0.0000 0.0000 0.0000 (multiplicity 1)
Fe 0.0956 0.1034 0.3003 (multiplicity 1)
Fe 0.1972 0.2038 0.6023 (multiplicity 1)
Fe 0.3994 0.3992 0.1997 (multiplicity 1)
Fe 0.4995 0.4985 0.5014 (multiplicity 1)
Fe 0.5964 0.6043 0.8036 (multiplicity 1)
Fe 0.7983 0.8012 0.4006 (multiplicity 1)
Fe 0.8951 0.9065 0.7025 (multiplicity 1)
Co 0.3100 0.2825 0.9037 (multiplicity 1)
Co 0.7031 0.6896 0.1004 (multiplicity 1)
Bi 0.0139 0.1170 0.1442 (multiplicity 1)
Bi 0.1117 0.2202 0.4460 (multiplicity 1)
Bi 0.2086 0.3271 0.7495 (multiplicity 1)
Bi 0.3102 0.4220 0.0444 (multiplicity 1)
Bi 0.4092 0.5226 0.3448 (multiplicity 1)
Bi 0.5084 0.6228 0.6469 (multiplicity 1)
Bi 0.6172 0.7125 0.9463 (multiplicity 1)
Bi 0.7091 0.8193 0.2434 (multiplicity 1)
Bi 0.8129 0.9188 0.5465 (multiplicity 1)
Bi 0.9111 0.0260 0.8487 (multiplicity 1)
O 0.0099 0.3771 0.8413 (multiplicity 1)
O 0.0199 0.5314 0.1662 (multiplicity 1)
O 0.0990 0.6084 0.9558 (multiplicity 1)
O 0.1185 0.0357 0.6693 (multiplicity 1)
O 0.1460 0.5183 0.6590 (multiplicity 1)
O 0.1561 0.0856 0.9380 (multiplicity 1)
O 0.2095 0.5713 0.4367 (multiplicity 1)
O 0.2151 0.7350 0.7697 (multiplicity 1)
O 0.2949 0.8103 0.5591 (multiplicity 1)
O 0.3156 0.2342 0.2661 (multiplicity 1)
O 0.3456 0.7149 0.2563 (multiplicity 1)
O 0.3536 0.2706 0.5370 (multiplicity 1)
O 0.3937 0.7782 0.0368 (multiplicity 1)
O 0.4139 0.9332 0.3668 (multiplicity 1)
O 0.4958 0.0155 0.1565 (multiplicity 1)
O 0.5138 0.4313 0.8706 (multiplicity 1)
O 0.5361 0.9242 0.8601 (multiplicity 1)
O 0.5564 0.4811 0.1370 (multiplicity 1)
O 0.6054 0.9758 0.6382 (multiplicity 1)
O 0.6109 0.1392 0.9662 (multiplicity 1)
O 0.6963 0.2202 0.7605 (multiplicity 1)
O 0.7201 0.6293 0.4680 (multiplicity 1)
O 0.7491 0.1109 0.4585 (multiplicity 1)
O 0.7547 0.6771 0.7399 (multiplicity 1)
O 0.8048 0.1741 0.2359 (multiplicity 1)
O 0.8122 0.3310 0.5685 (multiplicity 1)
O 0.8928 0.4152 0.3572 (multiplicity 1)
O 0.9105 0.8338 0.0656 (multiplicity 1)
O 0.9377 0.3184 0.0565 (multiplicity 1)
O 0.9546 0.8738 0.3360 (multiplicity 1)

Most intense lines, 10 to 80 degrees two-theta, in order of rising 2θ:
2theta	I_rel	index
20.2	75	0 1 3
22.2	60	1 0 3
24.8	47	1 1 -4
28.6	100	1 1 6
31.7	77	1 -1 0
31.9	76	1 0 -7
32.2	75	2 1 -1
32.5	72	1 2 -1
34.9	59	0 1 -7
39.2	47	2 0 -4
41.1	49	0 2 6
45.4	37	2 0 6

Record 5
Starting from DFT lattice parameters and positions (PBE+U), the powder X-ray diffraction pattern of Fe4CoBi5O15 was simulated for Cu Kα X-rays.
Kinematic intensities with the Lorentz-polarization factor, no thermal factor.

Lattice parameters (Å, degrees): 3.7949 6.3421 14.7206 87.93 88.83 88.19
Space group P1 (No. 1)
One atom of each set of equivalent atoms:
Fe 0.0000 0.0000 0.0000 (multiplicity 1)
Fe 0.9999 0.3986 0.7980 (multiplicity 1)
Fe 0.0006 0.8031 0.5977 (multiplicity 1)
Fe 0.9983 0.2067 0.3981 (multiplicity 1)
Co 0.0016 0.5928 0.1969 (multiplicity 1)
Bi 0.4503 0.8321 0.7933 (multiplicity 1)
Bi 0.4507 0.6359 0.3920 (multiplicity 1)
Bi 0.4542 0.2361 0.5927 (multiplicity 1)
Bi 0.4586 0.0223 0.1972 (multiplicity 1)
Bi 0.4615 0.4355 0.9915 (multiplicity 1)
O 0.9998 0.0871 0.5272 (multiplicity 1)
O 0.0023 0.8801 0.1281 (multiplicity 1)
O 0.0026 0.6797 0.7272 (multiplicity 1)
O 0.0239 0.3932 0.1168 (multiplicity 1)
O 0.0264 0.1860 0.7158 (multiplicity 1)
O 0.0275 0.7886 0.9155 (multiplicity 1)
O 0.0275 0.9886 0.3159 (multiplicity 1)
O 0.0294 0.5894 0.5159 (multiplicity 1)
O 0.4944 0.2889 0.4265 (multiplicity 1)
O 0.4952 0.0909 0.0266 (multiplicity 1)
O 0.4956 0.4835 0.8282 (multiplicity 1)
O 0.4961 0.6826 0.2285 (multiplicity 1)
O 0.4966 0.8895 0.6272 (multiplicity 1)
O 0.9971 0.2869 0.9289 (multiplicity 1)
O 0.9968 0.4885 0.3273 (multiplicity 1)

Most intense lines, 10 to 80 degrees two-theta, in order of rising 2θ:
2theta	I_rel	index
18.2	66	0 1 2
23.3	27	0 1 -3
23.5	26	1 0 0
29.0	55	0 2 -1
29.3	55	1 1 2
30.4	100	-1 1 2
33.3	35	1 1 -3
33.4	38	1 -1 3
36.8	20	0 2 4
47.7	19	0 2 -6
48.0	20	2 0 0
50.7	21	1 1 7

Record 6
Starting from DFT lattice parameters and positions (PBE+U), the powder X-ray diffraction pattern of MgCoBiO5 was simulated for Cu Kα X-rays.
Kinematic intensities with the Lorentz-polarization factor, no thermal factor.

Lattice parameters (Å, degrees): 5.3522 10.5530 8.2831 90.00 110.44 90.00
Space group P2_1/c (No. 14)
One atom of each set of equivalent atoms:
Mg 0.0450 0.0858 0.1756 (multiplicity 4)
Co 0.3424 0.6235 0.0431 (multiplicity 4)
Bi 0.4721 0.1053 0.8434 (multiplicity 4)
O 0.1932 0.7155 0.4928 (multiplicity 4)
O 0.1998 0.5360 0.1832 (multiplicity 4)
O 0.2536 0.0416 0.0064 (multiplicity 4)
O 0.3212 0.5588 0.8317 (multiplicity 4)
O 0.3316 0.2042 0.3238 (multiplicity 4)

Most intense lines, 10 to 80 degrees two-theta, in order of rising 2θ:
2theta	I_rel	index
14.2	24	0 1 1
17.7	100	1 0 0
20.4	45	0 2 1
24.4	41	0 1 2
25.1	75	1 1 -2
29.7	81	1 2 1
34.0	34	0 4 0
34.9	38	1 3 -2
35.8	25	0 1 3
38.6	25	1 4 0
43.8	26	1 0 -4
45.1	23	2 2 1

Record 7
Starting from DFT lattice parameters and positions (PBE+U), the powder X-ray diffraction pattern of Mg6CoBiO8 was simulated for Cu Kα X-rays.
Kinematic intensities with the Lorentz-polarization factor, no thermal factor.

Lattice parameters (Å, degrees): 4.4498 4.4498 8.8748 90.00 90.00 90.00
Space group P4/mmm (No. 123)
One atom of each set of equivalent atoms:
Mg 0.0000 0.0000 0.0000 (multiplicity 1)
Mg 0.0000 0.5000 0.2371 (multiplicity 4)
Mg 0.5000 0.5000 0.0000 (multiplicity 1)
Co 0.0000 0.0000 0.5000 (multiplicity 1)
Bi 0.5000 0.5000 0.5000 (multiplicity 1)
O 0.0000 0.0000 0.2327 (multiplicity 2)
O 0.0000 0.5000 0.0000 (multiplicity 2)
O 0.0000 0.5000 0.5000 (multiplicity 2)
O 0.5000 0.5000 0.2315 (multiplicity 2)

Most intense lines, 10 to 80 degrees two-theta, in order of rising 2θ:
2theta	I_rel	index
20.0	87	0 0 2
22.4	61	1 0 1
28.4	75	1 1 0
30.2	95	0 0 3
35.0	84	1 1 2
40.5	100	2 0 0
40.7	47	0 0 4
41.9	53	1 1 3
45.6	34	2 0 2
50.3	33	1 1 4
58.7	90	2 2 0
73.8	28	2 2 4